This entry pairs a crystal structure of ThGa3Au10 with its calculated powder X-ray diffraction pattern. Radiation: Cu Kα (λ = 1.5418 Å). Structure: a crystal structure in Alexandria, relaxed with GGA-PBE.
Intensities are scaled so that the largest is 100.

Crystal structure
Cell: 12.7849 9.5580 9.8514 Å, 90.00 110.53 90.00°
Space group C2/m (No. 12)
One atom of each set of equivalent atoms:
Th 0.2292 0.0000 0.1797
Ga 0.0700 0.2888 0.8195
Ga 0.2307 0.5000 0.3216
Au 0.0000 0.1522 0.0000
Au 0.0189 0.5000 0.3580
Au 0.0924 0.0000 0.8058
Au 0.0982 0.0000 0.4453
Au 0.1200 0.2751 0.5865
Au 0.1440 0.2468 0.3138
Au 0.2017 0.3488 0.0754

The 6 most intense peaks (5° ≤ 2θ ≤ 70°), in order of falling intensity:
hkl 4 0 1, 34.6°, I = 100
hkl 2 2 -3, 33.5°, I = 88
hkl 2 0 -4, 36.5°, I = 64
hkl 6 0 -3, 44.6°, I = 61
hkl 4 2 -3, 38.7°, I = 60
hkl 2 2 -4, 41.3°, I = 58

***

This entry pairs a crystal structure of BaNaZr2F11 with its calculated powder X-ray diffraction pattern. Radiation: Cu Kα (λ = 1.5418 Å). Structure: a crystal structure in Alexandria, relaxed with GGA-PBE.
Intensities are scaled so that the largest is 100.

Crystal structure
Cell: 8.3886 8.3886 23.9649 Å, 90.00 90.00 90.00°
Space group I4_1/a (No. 88, origin choice 2)
One atom of each set of equivalent atoms:
Ba 0.0000 0.2500 0.0377
Na 0.0000 0.2500 0.5103
Zr 0.1371 0.0346 0.3745
F 0.0000 0.2500 0.3734
F 0.0705 0.0469 0.5760
F 0.0735 0.0395 0.6761
F 0.1117 0.4291 0.7989
F 0.1125 0.4345 0.9534
F 0.1213 0.4383 0.1259

The 6 most intense peaks (5° ≤ 2θ ≤ 70°), in order of falling intensity:
hkl 2 1 1, 24.0°, I = 100
hkl 2 0 4, 25.9°, I = 76
hkl 3 1 6, 40.8°, I = 66
hkl 4 2 0, 48.6°, I = 47
hkl 1 1 6, 26.9°, I = 47
hkl 0 0 4, 14.8°, I = 44

***

This entry pairs a crystal structure of MgTe4Rh with its calculated powder X-ray diffraction pattern. Radiation: Cu Kα (λ = 1.5418 Å). Structure: a crystal structure in Alexandria, relaxed with GGA-PBE.
Intensities are scaled so that the largest is 100.

Crystal structure
Cell: 8.8047 8.8047 8.8047 Å, 90.00 90.00 90.00°
Space group F-43m (No. 216)
One atom of each set of equivalent atoms:
Mg 0.0000 0.0000 0.0000
Te 0.1245 0.1245 0.3755
Rh 0.2500 0.2500 0.7500

The 6 most intense peaks (5° ≤ 2θ ≤ 70°), in order of falling intensity:
hkl 3 1 1, 33.8°, I = 100
hkl 2 2 2, 35.3°, I = 62
hkl 1 1 1, 17.4°, I = 39
hkl 3 3 3, 54.1°, I = 34
hkl 4 4 0, 59.4°, I = 32
hkl 4 0 0, 41.0°, I = 16

***

This entry pairs a crystal structure of Ca2Ge3Au17 with its calculated powder X-ray diffraction pattern. Radiation: Cu Kα (λ = 1.5418 Å). Structure: a crystal structure in Alexandria, relaxed with GGA-PBE.
Intensities are scaled so that the largest is 100.

Crystal structure
Cell: 10.5503 10.5503 15.0104 Å, 90.00 90.00 120.00°
Space group R-3m (No. 166, hexagonal axes)
One atom of each set of equivalent atoms:
Ca 0.0000 0.0000 0.2053
Ge 0.0000 0.5000 0.5000
Au 0.0000 0.0000 0.4068
Au 0.0000 0.2652 0.5000
Au 0.0000 0.5000 0.0000
Au 0.0395 0.5197 0.3339

The 6 most intense peaks (5° ≤ 2θ ≤ 70°), in order of falling intensity:
hkl 1 0 1, 11.3°, I = 100
hkl 1 1 6, 39.8°, I = 71
hkl 2 2 3, 38.6°, I = 70
hkl 0 0 6, 35.9°, I = 60
hkl 2 2 0, 34.0°, I = 55
hkl 3 0 3, 34.5°, I = 42

***

This entry pairs a crystal structure of CeZnI with its calculated powder X-ray diffraction pattern. Radiation: Cu Kα (λ = 1.5418 Å). Structure: a crystal structure in Alexandria, relaxed with GGA-PBE.
Intensities are scaled so that the largest is 100.

Crystal structure
Cell: 7.5421 4.3540 12.1527 Å, 90.00 102.13 90.00°
Space group C2/m (No. 12)
One atom of each set of equivalent atoms:
Ce 0.0558 0.0000 0.1649
Zn 0.1652 0.5000 0.9957
I 0.2182 0.0000 0.6596

The 6 most intense peaks (5° ≤ 2θ ≤ 70°), in order of falling intensity:
hkl 1 1 2, 29.5°, I = 100
hkl 0 2 0, 41.5°, I = 63
hkl 0 0 1, 7.4°, I = 59
hkl 1 1 -4, 36.6°, I = 49
hkl 1 1 0, 23.7°, I = 34
hkl 2 0 2, 31.1°, I = 29